Diffraction record for UFeO4. The X-ray powder pattern is theoretical, not measured: it uses a GGA+U-relaxed structure and Cu Kα.
No peak broadening, texture or thermal motion is included.

Structural model:
Lattice parameters (Å, degrees): 4.915 12.070 5.177 90.00 90.00 90.00
Fractional coordinates of all 24 atoms:
U 0.000 0.170 0.250
U 0.000 0.830 0.750
U 0.500 0.330 0.750
U 0.500 0.670 0.250
Fe 0.000 0.438 0.250
Fe 0.000 0.562 0.750
Fe 0.500 0.062 0.750
Fe 0.500 0.938 0.250
O 0.221 0.310 0.093
O 0.221 0.690 0.593
O 0.231 0.445 0.574
O 0.231 0.555 0.074
O 0.269 0.055 0.074
O 0.269 0.945 0.574
O 0.279 0.190 0.593
O 0.279 0.810 0.093
O 0.721 0.190 0.907
O 0.721 0.810 0.407
O 0.731 0.055 0.426
O 0.731 0.945 0.926
O 0.769 0.445 0.926
O 0.769 0.555 0.426
O 0.779 0.310 0.407
O 0.779 0.690 0.907

Principal peaks in the range 15 to 90 degrees two-theta, by intensity:
Position (°2θ), intensity, hkl
26.07, 100.0, 1 1 1
28.67, 47.6, 1 3 0
22.63, 29.1, 0 2 1
45.57, 28.5, 1 3 2
51.07, 27.5, 2 4 1
34.40, 26.5, 0 4 1
51.26, 15.7, 2 0 2
34.65, 15.5, 0 0 2
43.43, 12.3, 2 2 1
59.56, 11.7, 1 7 1

Diffraction record for Li2FeSiCO7. The X-ray powder pattern is theoretical, not measured: it uses a GGA+U-relaxed structure and Cu Kα.
No peak broadening, texture or thermal motion is included.

Structural model:
Lattice parameters (Å, degrees): 5.152 6.297 8.558 90.00 93.17 90.00
Fractional coordinates of all 24 atoms:
Li 0.212 0.009 0.274
Li 0.212 0.491 0.274
Li 0.788 0.509 0.726
Li 0.788 0.991 0.726
Fe 0.205 0.750 0.848
Fe 0.795 0.250 0.152
Si 0.286 0.250 0.932
Si 0.714 0.750 0.068
C 0.269 0.750 0.553
C 0.731 0.250 0.447
O 0.040 0.750 0.613
O 0.168 0.250 0.105
O 0.182 0.050 0.823
O 0.182 0.450 0.823
O 0.292 0.750 0.406
O 0.394 0.750 0.044
O 0.466 0.750 0.655
O 0.534 0.250 0.345
O 0.606 0.250 0.956
O 0.708 0.250 0.594
O 0.818 0.550 0.177
O 0.818 0.950 0.177
O 0.832 0.750 0.895
O 0.960 0.250 0.387

Principal peaks in the range 15 to 90 degrees two-theta, by intensity:
Position (°2θ), intensity, hkl
28.35, 100.0, 0 2 0
17.49, 86.2, 0 1 1
26.37, 64.2, 1 0 -2
20.64, 50.2, 1 0 1
22.32, 42.7, 1 1 0
19.65, 41.8, 1 0 -1
25.06, 31.8, 1 1 1
34.89, 29.2, 2 0 0
35.90, 23.3, 2 0 -1
44.46, 22.5, 0 3 1